Starting from a cell relaxed with PBE+U, the X-ray powder pattern of MnSnPtO6 was simulated for a wavelength of 1.5418 Å.

Crystal structure
abc: 4.641 4.641 9.480
angles: 90.00 90.00 90.00
Space group P4_2nm (No. 102)
Asymmetric unit:
Mn1 0.000 0.000 0.000 x2
Sn1 0.000 0.000 0.668 x2
Pt1 0.000 0.000 0.335 x2
O1 0.184 0.184 0.162 x4
O2 0.194 0.194 0.840 x4
O3 0.199 0.199 0.498 x4

Largest 10 diffraction maxima, most intense first, 10° ≤ 2θ ≤ 90°:
| d [Å] | 2θ/deg | I (rel.) | h k l |
| --- | --- | --- | --- |
| 3.282 | 27.17 | 100 | 1 1 0 |
| 2.612 | 34.33 | 83 | 1 0 3 |
| 1.735 | 52.77 | 67 | 2 1 3 |
| 4.168 | 21.32 | 32 | 1 0 1 |
| 2.320 | 38.81 | 24 | 2 0 0 |
| 1.389 | 67.40 | 20 | 3 0 3 |
| 1.424 | 65.58 | 16 | 1 1 6 |
| 1.641 | 56.05 | 16 | 2 2 0 |
| 1.468 | 63.38 | 15 | 3 1 0 |
| 1.192 | 80.59 | 14 | 3 2 3 |